Diffraction record for Ge2W9O27. The X-ray diffraction stick pattern is computed, not measured: it uses a DFT-relaxed cell (GGA+U, Alexandria) and copper Kα.
Peak positions follow from Bragg's law for the DFT cell and can differ from measured ones.

Cell and atoms:
```
data_Ge2W9O27
_chemical_formula_sum 'Ge4 W18 O54'
_space_group_name_H-M_alt 'C 1 2/m 1'
_space_group_IT_number 12
_cell_length_a 7.597
_cell_length_b 13.163
_cell_length_c 11.595
_cell_angle_alpha 90.00
_cell_angle_beta 90.04
_cell_angle_gamma 90.00
loop_
_space_group_symop_operation_xyz
'x,y,z'
'-x,-y,-z'
'-x,y,-z'
'x,-y,z'
'x+1/2,y+1/2,z'
'-x+1/2,-y+1/2,-z'
'-x+1/2,y+1/2,-z'
'x+1/2,-y+1/2,z'
loop_
_atom_site_label
_atom_site_type_symbol
_atom_site_fract_x
_atom_site_fract_y
_atom_site_fract_z
Ge1 Ge 0.101 0.000 0.356
W1 W 0.000 0.500 0.000
W2 W 0.002 0.500 0.332
W3 W 0.249 0.258 0.333
W4 W 0.250 0.250 0.000
O1 O 0.000 0.214 0.000
O2 O 0.000 0.500 0.500
O3 O 0.002 0.221 0.665
O4 O 0.007 0.500 0.827
O5 O 0.178 0.390 0.003
O6 O 0.193 0.395 0.335
O7 O 0.219 0.403 0.661
O8 O 0.249 0.253 0.830
O9 O 0.250 0.250 0.500
```

Largest 10 diffraction maxima, by angle, 2θ = 15–90°:
two_theta  I (rel.)  hkl
23.0  62  0 0 3
23.4  14  2 0 0
27.1  100  0 4 0
35.8  66  0 4 3
47.9  24  2 6 0
53.8  25  2 6 -3
55.1  27  2 2 -6
55.9  14  0 8 0
61.2  16  0 8 3
69.4  15  2 6 -6